(1)
This entry pairs a crystal structure of MgZr2CuPt5 with its theoretical powder XRD pattern. Radiation: Cu Kα (λ = 1.5418 Å). Structure: a crystal structure in Alexandria, relaxed with GGA-PBE.
No peak broadening, texture or thermal motion is included.

Crystal structure
a b c (Å): 7.7142 7.7142 7.7142
angles (deg): 117.71 117.71 94.02
Fractional positions:
Mg (0.2500, 0.2500, 0.0000)
Mg (0.7500, 0.7500, 0.0000)
Zr (0.1262, 0.6262, 0.7525)
Zr (0.3738, 0.1262, 0.5000)
Zr (0.6262, 0.8738, 0.5000)
Zr (0.8738, 0.3738, 0.2475)
Cu (0.2500, 0.7500, 0.5000)
Cu (0.7500, 0.2500, 0.5000)
Pt (0.0000, 0.0000, 0.0000)
Pt (0.0518, 0.1757, 0.5000)
Pt (0.1757, 0.6757, 0.1239)
Pt (0.3243, 0.4482, 0.5000)
Pt (0.4482, 0.9482, 0.1239)
Pt (0.5000, 0.5000, 0.0000)
Pt (0.5518, 0.0518, 0.8761)
Pt (0.6757, 0.5518, 0.5000)
Pt (0.8243, 0.3243, 0.8761)
Pt (0.9482, 0.8243, 0.5000)

The 8 most intense peaks (15° ≤ 2θ ≤ 90°), most intense first:
| Position (°2θ) | I/Imax |
| --- | --- |
| 35.90 | 100.0 |
| 41.11 | 74.2 |
| 31.72 | 52.2 |
| 35.58 | 43.9 |
| 54.13 | 37.2 |
| 47.78 | 31.6 |
| 26.37 | 26.7 |
| 39.61 | 21.4 |



(2)
This entry pairs a crystal structure of TbPr2Er2Tm with its theoretical powder XRD pattern. Radiation: Cu Kα (λ = 1.5418 Å). Structure: a crystal structure in Alexandria, relaxed with GGA-PBE.
No peak broadening, texture or thermal motion is included.

Crystal structure
a b c (Å): 7.0201 5.6540 9.7968
angles (deg): 90.00 90.00 90.00
Fractional positions:
Tb (0.2500, 0.0000, 0.1570)
Tb (0.7500, 0.0000, 0.8430)
Pr (0.0000, 0.0000, 0.5000)
Pr (0.2500, 0.5000, 0.6800)
Pr (0.5000, 0.0000, 0.5000)
Pr (0.7500, 0.5000, 0.3200)
Er (0.2500, 0.0000, 0.8326)
Er (0.2500, 0.5000, 0.3357)
Er (0.7500, 0.0000, 0.1674)
Er (0.7500, 0.5000, 0.6643)
Tm (0.0000, 0.5000, 0.0000)
Tm (0.5000, 0.5000, 0.0000)

The 8 most intense peaks (15° ≤ 2θ ≤ 90°), most intense first:
| Position (°2θ) | I/Imax |
| --- | --- |
| 31.64 | 100.0 |
| 31.35 | 91.3 |
| 56.18 | 34.7 |
| 45.15 | 33.3 |
| 62.26 | 29.0 |
| 56.36 | 19.2 |
| 74.97 | 14.6 |
| 80.32 | 13.8 |



(3)
This entry pairs a crystal structure of Dy4Ni13C4 with its theoretical powder XRD pattern. Radiation: Cu Kα (λ = 1.5418 Å). Structure: a crystal structure in Alexandria, relaxed with GGA-PBE.
No peak broadening, texture or thermal motion is included.

Crystal structure
a b c (Å): 8.3825 8.3825 3.8565
angles (deg): 90.00 90.00 91.26
Fractional positions:
Dy (0.1881, 0.8119, 0.0000)
Dy (0.3480, 0.3480, 0.0000)
Dy (0.6520, 0.6520, 0.0000)
Dy (0.8119, 0.1881, 0.0000)
Ni (0.0000, 0.0000, 0.5000)
Ni (0.0000, 0.5000, 0.0000)
Ni (0.0739, 0.2908, 0.5000)
Ni (0.1226, 0.1226, 0.0000)
Ni (0.2157, 0.5689, 0.5000)
Ni (0.2908, 0.0739, 0.5000)
Ni (0.4311, 0.7843, 0.5000)
Ni (0.5000, 0.0000, 0.0000)
Ni (0.5689, 0.2157, 0.5000)
Ni (0.7092, 0.9261, 0.5000)
Ni (0.7843, 0.4311, 0.5000)
Ni (0.8774, 0.8774, 0.0000)
Ni (0.9261, 0.7092, 0.5000)
C (0.0000, 0.5000, 0.5000)
C (0.4431, 0.5569, 0.5000)
C (0.5000, 0.0000, 0.5000)
C (0.5569, 0.4431, 0.5000)

The 8 most intense peaks (15° ≤ 2θ ≤ 90°), most intense first:
| Position (°2θ) | I/Imax |
| --- | --- |
| 41.53 | 100.0 |
| 33.18 | 74.7 |
| 38.03 | 47.9 |
| 47.13 | 45.7 |
| 33.49 | 40.0 |
| 44.33 | 39.7 |
| 34.05 | 29.2 |
| 44.82 | 22.9 |



(4)
This entry pairs a crystal structure of Tb2YLu with its theoretical powder XRD pattern. Radiation: Cu Kα (λ = 1.5418 Å). Structure: a crystal structure in Alexandria, relaxed with GGA-PBE.
No peak broadening, texture or thermal motion is included.

Crystal structure
a b c (Å): 5.0082 5.0082 4.9962
angles (deg): 90.00 90.00 90.00
Fractional positions:
Tb (0.0000, 0.5000, 0.0000)
Tb (0.5000, 0.0000, 0.0000)
Y (0.0000, 0.0000, 0.5000)
Lu (0.5000, 0.5000, 0.5000)

The 8 most intense peaks (15° ≤ 2θ ≤ 90°), most intense first:
| Position (°2θ) | I/Imax |
| --- | --- |
| 30.95 | 100.0 |
| 35.89 | 50.5 |
| 51.66 | 35.8 |
| 61.41 | 28.3 |
| 61.53 | 14.1 |
| 64.51 | 12.2 |
| 84.40 | 11.7 |
| 87.03 | 11.0 |



(5)
This entry pairs a crystal structure of La4Tb2Ho with its theoretical powder XRD pattern. Radiation: Cu Kα (λ = 1.5418 Å). Structure: a crystal structure in Alexandria, relaxed with GGA-PBE.
No peak broadening, texture or thermal motion is included.

Crystal structure
a b c (Å): 12.7574 12.7574 6.8918
angles (deg): 97.00 97.00 150.25
Fractional positions:
La (0.0192, 0.9808, 0.5000)
La (0.3906, 0.7827, 0.7355)
La (0.4077, 0.8699, 0.2787)
La (0.4365, 0.5436, 0.5468)
La (0.5436, 0.4365, 0.0468)
La (0.7827, 0.3906, 0.2355)
La (0.8699, 0.4077, 0.7787)
La (0.9808, 0.0192, 0.0000)
Tb (0.2679, 0.9513, 0.6835)
Tb (0.4761, 0.6598, 0.0998)
Tb (0.6598, 0.4761, 0.5998)
Tb (0.9513, 0.2679, 0.1835)
Ho (0.1651, 0.9150, 0.1412)
Ho (0.9150, 0.1651, 0.6412)

The 8 most intense peaks (15° ≤ 2θ ≤ 90°), most intense first:
| Position (°2θ) | I/Imax |
| --- | --- |
| 29.72 | 100.0 |
| 31.03 | 66.0 |
| 36.50 | 29.1 |
| 31.70 | 28.6 |
| 30.35 | 27.5 |
| 31.89 | 21.4 |
| 49.70 | 20.9 |
| 54.23 | 15.8 |



(6)
This entry pairs a crystal structure of LiPm2Bi with its theoretical powder XRD pattern. Radiation: Cu Kα (λ = 1.5418 Å). Structure: a crystal structure in Alexandria, relaxed with GGA-PBE.
No peak broadening, texture or thermal motion is included.

Crystal structure
a b c (Å): 6.7075 6.7075 6.7075
angles (deg): 117.19 98.44 113.34
Fractional positions:
Li (0.2934, 0.0434, 0.2500)
Li (0.7066, 0.9566, 0.7500)
Pm (0.2257, 0.0000, 0.7257)
Pm (0.2257, 0.5000, 0.2257)
Pm (0.7743, 0.0000, 0.2743)
Pm (0.7743, 0.5000, 0.7743)
Bi (0.2901, 0.5401, 0.7500)
Bi (0.7099, 0.4599, 0.2500)

The 8 most intense peaks (15° ≤ 2θ ≤ 90°), most intense first:
| Position (°2θ) | I/Imax |
| --- | --- |
| 32.78 | 100.0 |
| 31.73 | 97.5 |
| 35.39 | 77.4 |
| 17.48 | 70.2 |
| 26.89 | 51.6 |
| 55.45 | 48.5 |
| 62.53 | 28.5 |
| 41.20 | 26.6 |



(7)
This entry pairs a crystal structure of BaSnHg5Bi2 with its theoretical powder XRD pattern. Radiation: Cu Kα (λ = 1.5418 Å). Structure: a crystal structure in Alexandria, relaxed with GGA-PBE.
No peak broadening, texture or thermal motion is included.

Crystal structure
a b c (Å): 5.8921 5.8921 9.0673
angles (deg): 90.00 90.00 90.00
Fractional positions:
Ba (0.0000, 0.0000, 0.0000)
Sn (0.0000, 0.0000, 0.5000)
Hg (0.0000, 0.5000, 0.3182)
Hg (0.0000, 0.5000, 0.6818)
Hg (0.5000, 0.0000, 0.3182)
Hg (0.5000, 0.0000, 0.6818)
Hg (0.5000, 0.5000, 0.0000)
Bi (0.5000, 0.5000, 0.3043)
Bi (0.5000, 0.5000, 0.6957)

The 8 most intense peaks (15° ≤ 2θ ≤ 90°), most intense first:
| Position (°2θ) | I/Imax |
| --- | --- |
| 30.34 | 100.0 |
| 42.87 | 50.7 |
| 43.44 | 38.3 |
| 29.11 | 34.6 |
| 29.55 | 34.1 |
| 53.42 | 26.8 |
| 15.04 | 23.3 |
| 23.50 | 22.2 |



(8)
This entry pairs a crystal structure of Pm3YTh2S6 with its theoretical powder XRD pattern. Radiation: Cu Kα (λ = 1.5418 Å). Structure: a crystal structure in Alexandria, relaxed with GGA-PBE.
No peak broadening, texture or thermal motion is included.

Crystal structure
a b c (Å): 6.9501 6.9501 6.9677
angles (deg): 99.61 99.61 119.85
Fractional positions:
Pm (0.0000, 0.0000, 0.0000)
Pm (0.3327, 0.6673, 0.0000)
Pm (0.6673, 0.3327, 0.0000)
Y (0.5000, 0.5000, 0.5000)
Th (0.1668, 0.8332, 0.5000)
Th (0.8332, 0.1668, 0.5000)
S (0.0902, 0.4176, 0.2525)
S (0.2556, 0.2556, 0.7483)
S (0.4176, 0.0902, 0.2525)
S (0.5824, 0.9098, 0.7475)
S (0.7444, 0.7444, 0.2517)
S (0.9098, 0.5824, 0.7475)

The 8 most intense peaks (15° ≤ 2θ ≤ 90°), most intense first:
| Position (°2θ) | I/Imax |
| --- | --- |
| 31.49 | 100.0 |
| 27.18 | 82.9 |
| 45.11 | 60.8 |
| 74.66 | 21.8 |
| 53.49 | 20.7 |
| 53.43 | 14.1 |
| 56.13 | 12.7 |
| 83.21 | 12.5 |



(9)
This entry pairs a crystal structure of Dy6NiBi2 with its theoretical powder XRD pattern. Radiation: Cu Kα (λ = 1.5418 Å). Structure: a crystal structure in Alexandria, relaxed with GGA-PBE.
No peak broadening, texture or thermal motion is included.

Crystal structure
a b c (Å): 6.4398 7.9571 11.9026
angles (deg): 90.00 121.12 90.00
Fractional positions:
Dy (0.1001, 0.1898, 0.4621)
Dy (0.1001, 0.3102, 0.9621)
Dy (0.3279, 0.6819, 0.4611)
Dy (0.3279, 0.8181, 0.9611)
Dy (0.3776, 0.0222, 0.2511)
Dy (0.3776, 0.4778, 0.7511)
Dy (0.6224, 0.5222, 0.2489)
Dy (0.6224, 0.9778, 0.7489)
Dy (0.6721, 0.1819, 0.0389)
Dy (0.6721, 0.3181, 0.5389)
Dy (0.8999, 0.6898, 0.0379)
Dy (0.8999, 0.8102, 0.5379)
Ni (0.5000, 0.0000, 0.5000)
Ni (0.5000, 0.5000, 0.0000)
Bi (0.1478, 0.1125, 0.7469)
Bi (0.1478, 0.3875, 0.2469)
Bi (0.8522, 0.6125, 0.7531)
Bi (0.8522, 0.8875, 0.2531)

The 8 most intense peaks (15° ≤ 2θ ≤ 90°), most intense first:
| Position (°2θ) | I/Imax |
| --- | --- |
| 31.49 | 100.0 |
| 35.24 | 87.3 |
| 28.46 | 62.8 |
| 31.01 | 55.9 |
| 36.64 | 46.6 |
| 34.43 | 42.6 |
| 31.96 | 32.5 |
| 52.05 | 31.2 |



(10)
This entry pairs a crystal structure of In3Pd2Au8 with its theoretical powder XRD pattern. Radiation: Cu Kα (λ = 1.5418 Å). Structure: a crystal structure in Alexandria, relaxed with GGA-PBE.
No peak broadening, texture or thermal motion is included.

Crystal structure
a b c (Å): 10.7922 10.7922 10.7922
angles (deg): 29.27 29.27 29.27
Fractional positions:
In (0.0000, 0.0000, 0.0000)
In (0.1854, 0.1854, 0.1854)
In (0.8146, 0.8146, 0.8146)
Pd (0.3611, 0.3611, 0.3611)
Pd (0.6389, 0.6389, 0.6389)
Au (0.2296, 0.7285, 0.7285)
Au (0.2715, 0.2715, 0.7704)
Au (0.2715, 0.7704, 0.2715)
Au (0.2757, 0.2757, 0.2757)
Au (0.7243, 0.7243, 0.7243)
Au (0.7285, 0.2296, 0.7285)
Au (0.7285, 0.7285, 0.2296)
Au (0.7704, 0.2715, 0.2715)

The 8 most intense peaks (15° ≤ 2θ ≤ 90°), most intense first:
| Position (°2θ) | I/Imax |
| --- | --- |
| 38.57 | 100.0 |
| 37.18 | 76.6 |
| 39.91 | 54.7 |
| 61.52 | 39.1 |
| 17.18 | 38.0 |
| 42.29 | 34.8 |
| 68.87 | 32.9 |
| 27.63 | 24.0 |



(11)
This entry pairs a crystal structure of CsKMn2I8 with its theoretical powder XRD pattern. Radiation: Cu Kα (λ = 1.5418 Å). Structure: a crystal structure in Alexandria, relaxed with GGA-PBE.
No peak broadening, texture or thermal motion is included.

Crystal structure
a b c (Å): 11.8766 11.8766 11.8766
angles (deg): 37.99 37.99 37.99
Fractional positions:
Cs (0.0000, 0.0000, 0.0000)
K (0.5000, 0.5000, 0.5000)
Mn (0.2574, 0.2574, 0.2574)
Mn (0.7426, 0.7426, 0.7426)
I (0.0598, 0.4277, 0.8154)
I (0.1846, 0.9402, 0.5723)
I (0.3358, 0.3358, 0.3358)
I (0.4277, 0.8154, 0.0598)
I (0.5723, 0.1846, 0.9402)
I (0.6642, 0.6642, 0.6642)
I (0.8154, 0.0598, 0.4277)
I (0.9402, 0.5723, 0.1846)

The 8 most intense peaks (15° ≤ 2θ ≤ 90°), most intense first:
| Position (°2θ) | I/Imax |
| --- | --- |
| 24.40 | 100.0 |
| 28.21 | 61.8 |
| 40.41 | 30.6 |
| 47.73 | 29.8 |
| 24.26 | 26.7 |
| 40.23 | 25.3 |
| 47.54 | 17.1 |
| 52.82 | 9.0 |



(12)
This entry pairs a crystal structure of DyTm2Tl2Ag2 with its theoretical powder XRD pattern. Radiation: Cu Kα (λ = 1.5418 Å). Structure: a crystal structure in Alexandria, relaxed with GGA-PBE.
No peak broadening, texture or thermal motion is included.

Crystal structure
a b c (Å): 8.9785 8.9785 8.9785
angles (deg): 31.56 31.56 31.56
Fractional positions:
Dy (0.0000, 0.0000, 0.0000)
Tm (0.1329, 0.1329, 0.1329)
Tm (0.8671, 0.8671, 0.8671)
Tl (0.2653, 0.2653, 0.2653)
Tl (0.7347, 0.7347, 0.7347)
Ag (0.4370, 0.4370, 0.4370)
Ag (0.5630, 0.5630, 0.5630)

The 8 most intense peaks (15° ≤ 2θ ≤ 90°), most intense first:
| Position (°2θ) | I/Imax |
| --- | --- |
| 36.81 | 100.0 |
| 32.38 | 95.8 |
| 49.83 | 28.6 |
| 63.53 | 27.4 |
| 35.19 | 25.3 |
| 66.31 | 17.9 |
| 66.94 | 13.5 |
| 87.31 | 11.8 |



Question: Number 12 is which compound?
Answer: DyTm2Tl2Ag2